Entry 1:
For VZn2Co2, a GGA-PBE-relaxed structure gives the calculated powder diffraction line list in this record (Cu Kα X-rays).

```
data_VZn2Co2
_chemical_formula_sum 'V2 Zn4 Co4'
_cell_length_a 6.827
_cell_length_b 3.954
_cell_length_c 5.016
_cell_angle_alpha 90.00
_cell_angle_beta 90.08
_cell_angle_gamma 90.00
_symmetry_space_group_name_H-M 'C 1 2/m 1'
_symmetry_Int_Tables_number 12
loop_
_symmetry_equiv_pos_as_xyz
'x,y,z'
'-x,-y,-z'
'-x,y,-z'
'x,-y,z'
'x+1/2,y+1/2,z'
'-x+1/2,-y+1/2,-z'
'-x+1/2,y+1/2,-z'
'x+1/2,-y+1/2,z'
loop_
_atom_site_label
_atom_site_fract_x
_atom_site_fract_y
_atom_site_fract_z
V1 0.000 0.000 0.000
Zn1 0.167 0.500 0.632
Co1 0.167 0.500 0.130
```

Top 12 peaks for 2θ = 10–80°, sorted by position:
2θ 17.68, d 5.016, I 59; 2θ 26.06, d 3.419, I 270; 2θ 31.67, d 2.825, I 157; 2θ 44.82, d 2.022, I 1000; 2θ 45.90, d 1.977, I 273; 2θ 46.02, d 1.972, I 542; 2θ 53.57, d 1.711, I 24; 2θ 56.87, d 1.619, I 18; 2θ 66.11, d 1.413, I 216; 2θ 66.28, d 1.410, I 70; 2θ 73.31, d 1.291, I 18; 2θ 75.88, d 1.254, I 33

=====

Entry 2:
For Ce3Si2Au5, a GGA-PBE-relaxed structure gives the calculated powder diffraction line list in this record (Cu Kα X-rays).

```
data_Ce3Si2Au5
_chemical_formula_sum 'Ce12 Si8 Au20'
_cell_length_a 10.284
_cell_length_b 14.772
_cell_length_c 6.076
_cell_angle_alpha 90.00
_cell_angle_beta 90.00
_cell_angle_gamma 90.00
_symmetry_space_group_name_H-M 'I b a m'
_symmetry_Int_Tables_number 72
_symmetry_space_group_name_Hall '-I 2 2c'
loop_
_atom_site_label
_atom_site_fract_x
_atom_site_fract_y
_atom_site_fract_z
Ce1 0.000 0.000 0.250
Ce2 0.213 0.345 0.000
Si1 0.161 0.129 0.000
Au1 0.000 0.211 0.250
Au2 0.000 0.500 0.250
Au3 0.105 0.356 0.500
```

Top 12 peaks for 2θ = 10–80°, sorted by position:
2θ 10.48, d 8.440, I 404; 2θ 17.24, d 5.142, I 777; 2θ 29.79, d 3.000, I 661; 2θ 31.81, d 2.813, I 471; 2θ 32.34, d 2.768, I 710; 2θ 34.28, d 2.616, I 813; 2θ 35.81, d 2.507, I 735; 2θ 36.49, d 2.462, I 284; 2θ 38.37, d 2.346, I 1000; 2θ 42.86, d 2.110, I 329; 2θ 43.79, d 2.067, I 323; 2θ 46.26, d 1.963, I 391

=====

Entry 3:
For CsAlClF3, a GGA-PBE-relaxed structure gives the calculated powder diffraction line list in this record (Cu Kα X-rays).

```
data_CsAlClF3
_chemical_formula_sum 'Cs4 Al4 Cl4 F12'
_cell_length_a 6.333
_cell_length_b 18.704
_cell_length_c 5.207
_cell_angle_alpha 90.00
_cell_angle_beta 93.89
_cell_angle_gamma 90.00
_symmetry_space_group_name_H-M 'C 1 2/c 1'
_symmetry_Int_Tables_number 15
loop_
_symmetry_equiv_pos_as_xyz
'x,y,z'
'-x,-y,-z'
'-x,y,-z+1/2'
'x,-y,z+1/2'
'x+1/2,y+1/2,z'
'-x+1/2,-y+1/2,-z'
'-x+1/2,y+1/2,-z+1/2'
'x+1/2,-y+1/2,z+1/2'
loop_
_atom_site_label
_atom_site_fract_x
_atom_site_fract_y
_atom_site_fract_z
Cs1 0.000 0.224 0.250
Al1 0.000 0.032 0.750
Cl1 0.000 0.337 0.750
F1 0.000 0.121 0.750
F2 0.174 0.015 0.479
```

Top 12 peaks for 2θ = 10–80°, sorted by position:
2θ 14.80, d 5.986, I 701; 2θ 18.98, d 4.676, I 669; 2θ 21.92, d 4.054, I 424; 2θ 25.63, d 3.475, I 783; 2θ 25.77, d 3.457, I 861; 2θ 27.04, d 3.297, I 1000; 2θ 27.71, d 3.219, I 354; 2θ 28.25, d 3.159, I 658; 2θ 29.85, d 2.993, I 580; 2θ 32.20, d 2.780, I 416; 2θ 35.88, d 2.503, I 428; 2θ 43.58, d 2.077, I 446

=====

Entry 4:
For Ho3Zn8Rh, a GGA-PBE-relaxed structure gives the calculated powder diffraction line list in this record (Cu Kα X-rays).

```
data_Ho3Zn8Rh
_chemical_formula_sum 'Ho9 Zn24 Rh3'
_cell_length_a 5.2690
_cell_length_b 5.2690
_cell_length_c 26.4603
_cell_angle_alpha 90.00
_cell_angle_beta 90.00
_cell_angle_gamma 120.00
_symmetry_space_group_name_H-M 'R 3 m'
_symmetry_Int_Tables_number 160
_symmetry_space_group_name_Hall 'R 3 -2"'
loop_
_atom_site_label
_atom_site_fract_x
_atom_site_fract_y
_atom_site_fract_z
Ho1 0.0000 0.0000 0.0000
Ho2 0.0000 0.0000 0.1255
Ho3 0.0000 0.0000 0.6095
Zn1 0.0000 0.0000 0.3070
Zn2 0.0000 0.0000 0.8094
Zn3 0.0011 0.5006 0.5558
Zn4 0.0039 0.5020 0.0611
Rh1 0.0000 0.0000 0.5028
```

Top 12 peaks for 2θ = 10–80°, sorted by position:
2θ 20.59, d 4.314, I 172; 2θ 33.46, d 2.678, I 633; 2θ 34.03, d 2.634, I 697; 2θ 39.36, d 2.289, I 776; 2θ 39.86, d 2.262, I 1000; 2θ 40.11, d 2.248, I 666; 2θ 41.88, d 2.157, I 448; 2θ 60.55, d 1.529, I 231; 2θ 64.49, d 1.445, I 351; 2θ 64.84, d 1.438, I 230; 2θ 70.30, d 1.339, I 228; 2θ 71.65, d 1.317, I 322